No. 1
This entry pairs a crystal structure of Pm4Pd3 with its theoretical PXRD pattern. Radiation: CuKα. Structure: a DFT-relaxed cell (GGA-PBE, Alexandria).

Top 10 peaks for 2θ from 5° to 70°, by angle:
10.60°, I = 7
20.70°, I = 6
21.60°, I = 5
24.90°, I = 20
35.31°, I = 100
35.70°, I = 98
51.09°, I = 35
63.13°, I = 18
63.89°, I = 35
64.14°, I = 18

Structure:
Cell lengths 8.836, 8.836, 8.836 Å; angles 33.07, 33.07, 33.07 degrees
Fractional coordinates of all 7 atoms:
1 Pm 0.125 0.125 0.125
2 Pm 0.375 0.375 0.375
3 Pm 0.625 0.625 0.625
4 Pm 0.875 0.875 0.875
5 Pd 0.000 0.000 0.000
6 Pd 0.247 0.247 0.247
7 Pd 0.753 0.753 0.753

---

No. 2
This entry pairs a crystal structure of UHgAs2O8 with its theoretical PXRD pattern. Radiation: CuKα. Structure: a DFT-relaxed cell (GGA-PBE, Alexandria).

Top 10 peaks for 2θ from 5° to 70°, by angle:
17.86°, I = 68
20.78°, I = 28
27.83°, I = 100
31.19°, I = 53
38.00°, I = 17
42.28°, I = 36
47.00°, I = 14
48.49°, I = 12
53.47°, I = 34
54.15°, I = 23

Structure:
Cell lengths 5.735, 5.735, 8.396 Å; angles 90.00, 90.00, 120.00 degrees
Fractional coordinates of all 12 atoms:
1 U 0.000 0.000 0.000
2 Hg 0.000 0.000 0.500
3 As 0.333 0.667 0.767
4 As 0.667 0.333 0.233
5 O 0.174 0.348 0.857
6 O 0.174 0.826 0.857
7 O 0.333 0.667 0.571
8 O 0.348 0.174 0.143
9 O 0.652 0.826 0.857
10 O 0.667 0.333 0.429
11 O 0.826 0.174 0.143
12 O 0.826 0.652 0.143